The following is a simulated X-ray diffraction stick pattern of Ba3La7Ti3Cr7O30. It was derived from a cell relaxed with GGA+U, using a wavelength of 1.5418 Å.

Most intense lines, 2θ from 10° to 80°, most intense first:
two_theta	d [Å]	I/Imax	hkl
31.95	2.801	100	2 0 -1
31.78	2.815	49	1 -2 3
45.78	1.982	31	2 0 -6
22.41	3.968	27	1 0 2
56.99	1.616	24	1 2 6
56.80	1.621	20	1 -2 8
45.63	1.988	16	0 4 -2
39.34	2.290	15	0 2 -6

Cell lengths 5.6087, 7.9528, 14.8225 Å; angles 105.44, 100.80, 90.46 degrees
Element x y z (fractional)
Ba1 0.0000 0.0000 0.0000
Ba2 0.0007 0.5033 0.9997
Ba3 0.3979 0.4006 0.7948
La1 0.1971 0.7016 0.3950
La2 0.2023 0.2032 0.4025
La3 0.3967 0.8963 0.7980
La4 0.5989 0.1020 0.2038
La5 0.6078 0.6044 0.2000
La6 0.7942 0.7974 0.5974
La7 0.8017 0.3009 0.5950
Ti1 0.4966 0.7527 0.9986
Ti2 0.5042 0.2503 0.0022
Ti3 0.9011 0.1443 0.7956
Cr1 0.0976 0.3540 0.2020
Cr2 0.1047 0.8525 0.2016
Cr3 0.2957 0.0483 0.5951
Cr4 0.2990 0.5502 0.5948
Cr5 0.6986 0.4518 0.3987
Cr6 0.6995 0.9514 0.3994
Cr7 0.8930 0.6519 0.7954
O1 0.0285 0.4640 0.4808
O2 0.0565 0.6198 0.6821
O3 0.0795 0.5988 0.1932
O4 0.1222 0.0680 0.7047
O5 0.1231 0.1143 0.2238
O6 0.1939 0.2090 0.9012
O7 0.2142 0.6983 0.8916
O8 0.2866 0.7872 0.5695
O9 0.2962 0.8126 0.0959
O10 0.3012 0.3052 0.6061
O11 0.3363 0.2950 0.1117
O12 0.3669 0.4378 0.3156
O13 0.4331 0.8632 0.2858
O14 0.4551 0.0211 0.4827
O15 0.4925 0.9986 0.9890
O16 0.5082 0.5078 0.0125
O17 0.5514 0.4804 0.5139
O18 0.5738 0.6474 0.7059
O19 0.6202 0.0689 0.6859
O20 0.6806 0.1894 0.3749
O21 0.6810 0.1969 0.8899
O22 0.7042 0.7001 0.9040
O23 0.7160 0.7131 0.4220
O24 0.7752 0.8266 0.1126
O25 0.8014 0.2833 0.0944
O26 0.8460 0.4158 0.2833
O27 0.8877 0.3845 0.7762
O28 0.9020 0.9059 0.8038
O29 0.9442 0.8891 0.3150
O30 0.9660 0.0403 0.5124


The following is a simulated X-ray diffraction stick pattern of BaLa4TiCr4O15. It was derived from a cell relaxed with GGA+U, using a wavelength of 1.5418 Å.

Most intense lines, 2θ from 10° to 80°, most intense first:
two_theta	d [Å]	I/Imax	hkl
32.14	2.785	100	2 0 -1
31.82	2.813	65	-1 2 2
45.88	1.978	61	0 4 -2
22.48	3.955	35	1 0 2
31.95	2.801	32	0 0 5
56.83	1.620	28	1 -2 8
39.40	2.287	19	0 2 4
56.96	1.617	13	0 4 -7

Cell lengths 5.5808, 7.9190, 14.8062 Å; angles 105.32, 100.60, 90.86 degrees
Element x y z (fractional)
Ba1 0.0012 0.2513 0.0027
Ba2 0.9988 0.7487 0.9973
La1 0.2000 0.4478 0.3971
La2 0.2006 0.9498 0.3998
La3 0.3992 0.1489 0.7980
La4 0.4011 0.6490 0.7982
La5 0.5989 0.3510 0.2018
La6 0.6008 0.8511 0.2020
La7 0.7994 0.0502 0.6002
La8 0.8000 0.5522 0.6029
Ti1 0.5000 0.0000 0.0000
Ti2 0.5000 0.5000 0.0000
Cr1 0.0968 0.1015 0.2027
Cr2 0.1048 0.6006 0.2027
Cr3 0.2987 0.2984 0.5985
Cr4 0.2998 0.8002 0.5984
Cr5 0.7002 0.1998 0.4016
Cr6 0.7013 0.7016 0.4015
Cr7 0.8952 0.3994 0.7973
Cr8 0.9032 0.8985 0.7973
O1 0.0281 0.2056 0.4858
O2 0.0564 0.3706 0.6843
O3 0.0974 0.3454 0.1917
O4 0.1128 0.8627 0.2260
O5 0.1490 0.8251 0.7131
O6 0.2000 0.9732 0.9049
O7 0.2228 0.4240 0.8882
O8 0.2853 0.5356 0.5709
O9 0.2955 0.5690 0.0954
O10 0.3140 0.0643 0.6286
O11 0.3352 0.0356 0.1121
O12 0.3698 0.1854 0.3168
O13 0.4329 0.6120 0.2882
O14 0.4543 0.7806 0.4847
O15 0.4920 0.7405 0.9817
O16 0.5080 0.2595 0.0183
O17 0.5457 0.2194 0.5153
O18 0.5671 0.3880 0.7118
O19 0.6302 0.8146 0.6832
O20 0.6648 0.9644 0.8879
O21 0.6860 0.9357 0.3714
O22 0.7045 0.4310 0.9046
O23 0.7147 0.4644 0.4291
O24 0.7772 0.5760 0.1118
O25 0.8000 0.0268 0.0951
O26 0.8510 0.1749 0.2869
O27 0.8872 0.1373 0.7740
O28 0.9026 0.6546 0.8083
O29 0.9436 0.6294 0.3157
O30 0.9719 0.7944 0.5142